No. 1
Starting from a DFT-relaxed cell (GGA-PBE, Alexandria), the powder X-ray diffraction pattern of Rb2CdICl3 was calculated for Cu Kα.
Intensities are scaled so that the largest is 100.

Most intense lines, 2θ = 10–90°, sorted by position:
- 10.67°, intensity 100
- 22.32°, intensity 39
- 22.99°, intensity 74
- 30.41°, intensity 60
- 31.14°, intensity 48
- 32.36°, intensity 56
- 33.09°, intensity 47
- 38.47°, intensity 41
- 45.56°, intensity 37
- 46.96°, intensity 38

Atomic structure:
```
Rb2CdICl3
1.0
-2.707 2.939 8.294
2.707 -2.939 8.294
2.707 2.939 -8.294
Rb Cd I Cl
2 1 1 3
Direct
0.147 0.147 0.000 Rb
0.853 0.853 0.000 Rb
0.500 0.500 0.000 Cd
0.000 0.500 0.500 I
0.341 0.341 0.000 Cl
0.500 0.000 0.500 Cl
0.659 0.659 0.000 Cl
```

***

No. 2
Starting from a DFT-relaxed cell (GGA-PBE, Alexandria), the powder X-ray diffraction pattern of CdIn5Cl8 was calculated for Cu Kα.
Intensities are scaled so that the largest is 100.

Most intense lines, 2θ = 10–90°, sorted by position:
- 22.20°, intensity 74
- 23.52°, intensity 100
- 27.95°, intensity 72
- 30.74°, intensity 53
- 31.07°, intensity 67
- 34.31°, intensity 49
- 35.80°, intensity 30
- 40.47°, intensity 30
- 44.51°, intensity 27
- 44.66°, intensity 38

Atomic structure:
```
CdIn5Cl8
1.0
-4.551 4.551 5.114
4.551 -4.551 5.114
4.551 4.551 -5.114
Cd In Cl
1 5 8
Direct
0.000 0.000 0.000 Cd
0.242 0.636 0.128 In
0.364 0.492 0.605 In
0.508 0.114 0.872 In
0.750 0.250 0.500 In
0.886 0.758 0.395 In
0.107 0.270 0.722 Cl
0.107 0.764 0.805 Cl
0.236 0.040 0.342 Cl
0.547 0.385 0.278 Cl
0.615 0.893 0.162 Cl
0.698 0.893 0.658 Cl
0.730 0.453 0.838 Cl
0.960 0.302 0.195 Cl
```